Diffraction record for Ga2Fe3Ir3. The powder X-ray diffraction pattern is simulated, not measured: it uses a structure optimized by DFT (GGA-PBE) and Cu Kα, 1.54184 Å.
Kinematic intensities with the Lorentz-polarization factor, no thermal factor.

Most intense lines, 10° ≤ 2θ ≤ 90°, by intensity:
42.5 deg, rel. 100
29.7 deg, rel. 32
42.3 deg, rel. 26
77.5 deg, rel. 25
42.9 deg, rel. 24
61.8 deg, rel. 16
78.4 deg, rel. 16
78.0 deg, rel. 8
61.6 deg, rel. 8
14.7 deg, rel. 6

Structural model:
Lattice parameters (Å, degrees): 4.2125 4.2773 6.0220 90.00 90.00 90.00
Element x y z (fractional)
Ga  0.0000  0.0000  0.2474
Ga  0.0000  0.0000  0.7526
Fe  0.0000  0.5000  0.0000
Fe  0.5000  0.5000  0.2392
Fe  0.5000  0.5000  0.7608
Ir  0.0000  0.5000  0.5000
Ir  0.5000  0.0000  0.0000
Ir  0.5000  0.0000  0.5000